# 1
Calculated powder XRD pattern of Nd12YEr7 for Cu Kα X-rays, from a structure optimized by DFT (GGA-PBE).
Intensities are scaled so that the largest is 100.

Atomic structure:
abc: 19.6596 19.6596 6.2239
angles: 90.00 90.00 120.00
Space group R-3m (No. 166, hexagonal axes)
Asymmetric unit:
1 Nd 0.0000 0.4125 0.0000
2 Nd 0.0983 0.5492 0.4625
3 Y 0.0000 0.0000 0.5000
4 Er 0.0000 0.0000 0.0000
5 Er 0.0814 0.1628 0.2920

Top 8 peaks for 15° ≤ 2θ ≤ 90°, sorted by position:
2θ/deg  I (rel.)  hkl
27.22  36  3 3 0
29.17  27  0 1 2
29.91  100  0 5 1
30.59  34  2 0 2
32.63  38  5 1 1
32.85  38  5 2 0
39.22  35  5 0 2
39.79  23  7 0 1

***

# 2
Calculated powder XRD pattern of NdYEr4 for Cu Kα X-rays, from a structure optimized by DFT (GGA-PBE).
Intensities are scaled so that the largest is 100.

Atomic structure:
abc: 10.6950 6.1772 12.0151
angles: 90.00 107.19 90.00
Space group C2/c (No. 15)
Asymmetric unit:
1 Nd 0.0000 0.0812 0.2500
2 Y 0.2500 0.2500 0.5000
3 Er 0.0838 0.2516 0.0003
4 Er 0.1662 0.4159 0.7499

Top 8 peaks for 15° ≤ 2θ ≤ 90°, sorted by position:
2θ/deg  I (rel.)  hkl
29.97  50  3 1 0
31.17  36  0 0 4
32.94  100  0 2 2
37.42  28  3 1 2
51.24  27  6 0 -2
56.59  21  0 2 6
61.20  31  6 0 2
62.27  16  6 2 0

***

# 3
Calculated powder XRD pattern of NdY2Er7 for Cu Kα X-rays, from a structure optimized by DFT (GGA-PBE).
Intensities are scaled so that the largest is 100.

Atomic structure:
abc: 6.1199 6.1220 9.3581
angles: 71.00 70.99 80.37
Space group P-1 (No. 2)
Asymmetric unit:
1 Nd 0.0000 0.0000 0.0000
2 Y 0.3991 0.9994 0.2028
3 Er 0.0979 0.4988 0.3019
4 Er 0.2005 0.0009 0.5988
5 Er 0.3006 0.5010 0.8989
6 Er 0.5000 0.5000 0.5000

Top 8 peaks for 15° ≤ 2θ ≤ 90°, sorted by position:
2θ/deg  I (rel.)  hkl
30.97  100  2 1 1
35.84  17  1 1 -2
35.95  34  1 2 3
51.67  24  2 3 1
51.75  12  3 1 4
61.40  14  3 2 -1
61.54  28  4 0 2
84.39  12  5 1 0

***

# 4
Calculated powder XRD pattern of Nd5Y2Er for Cu Kα X-rays, from a structure optimized by DFT (GGA-PBE).
Intensities are scaled so that the largest is 100.

Atomic structure:
abc: 7.2608 14.5320 5.1369
angles: 90.00 90.00 90.00
Space group Pbam (No. 55)
Asymmetric unit:
1 Nd 0.0000 0.0000 0.0000
2 Nd 0.0009 0.2517 0.0000
3 Nd 0.2481 0.6239 0.5000
4 Y 0.2502 0.3763 0.5000
5 Er 0.0000 0.5000 0.0000

Top 8 peaks for 15° ≤ 2θ ≤ 90°, sorted by position:
2θ/deg  I (rel.)  hkl
30.14  100  2 0 1
34.94  51  2 4 0
50.24  36  4 0 0
59.71  43  4 4 1
62.66  12  4 0 2
73.79  6  0 0 4
81.72  17  6 0 1
84.33  16  6 4 0